For Ac8Sn5I, a PBE-relaxed structure gives the theoretical XRD peak list in this record (λ = 1.5418 Å (Cu Kα)).
Lines closer than 0.1° are merged.

Peak list (10 most intense, 10 to 90 degrees two-theta, low angle first)
d/Å	intensity
4.157	111
3.600	100
3.220	1000
2.721	697
2.078	220
1.998	199
1.995	126
1.651	185
1.609	103
1.571	168

```
Ac8Sn5I
1.0
-5.087 5.087 5.099
5.087 -5.087 5.099
5.087 5.087 -5.099
Ac Sn I
8 5 1
direct
0.008 0.620 0.758 Ac
0.229 0.477 0.098 Ac
0.378 0.131 0.902 Ac
0.380 0.138 0.388 Ac
0.523 0.622 0.753 Ac
0.750 0.992 0.612 Ac
0.862 0.250 0.242 Ac
0.869 0.771 0.247 Ac
0.000 0.000 0.000 Sn
0.131 0.251 0.623 Sn
0.492 0.869 0.120 Sn
0.628 0.508 0.377 Sn
0.749 0.372 0.880 Sn
0.250 0.750 0.500 I
```

For Ac4SnI4, a PBE-relaxed structure gives the theoretical XRD peak list in this record (λ = 1.5418 Å (Cu Kα)).
Lines closer than 0.1° are merged.

Peak list (10 most intense, 10 to 90 degrees two-theta, low angle first)
d/Å	intensity
4.272	1000
3.428	353
3.400	399
2.840	349
2.807	465
2.761	367
2.346	185
2.266	348
1.905	174
1.729	193

```
Ac4SnI4
1.0
-3.970 3.970 6.583
3.970 -3.970 6.583
3.970 3.970 -6.583
Ac Sn I
4 1 4
direct
0.043 0.635 0.000 Ac
0.365 0.365 0.408 Ac
0.635 0.043 0.000 Ac
0.957 0.957 0.592 Ac
0.000 0.000 0.000 Sn
0.000 0.500 0.500 I
0.355 0.355 0.000 I
0.500 0.000 0.500 I
0.645 0.645 0.000 I
```

For Ac4Sn3I2, a PBE-relaxed structure gives the theoretical XRD peak list in this record (λ = 1.5418 Å (Cu Kα)).
Lines closer than 0.1° are merged.

Peak list (10 most intense, 10 to 90 degrees two-theta, low angle first)
d/Å	intensity
4.072	249
4.050	697
3.334	904
3.304	904
3.147	652
2.610	273
2.561	617
2.347	1000
2.048	306
1.480	258

```
Ac4Sn3I2
1.0
8.100 -6.608 0.000
8.100 6.608 0.000
-0.058 0.000 6.667
Ac Sn I
8 6 4
direct
0.040 0.779 0.503 Ac
0.216 0.463 0.003 Ac
0.221 0.960 0.997 Ac
0.463 0.216 0.503 Ac
0.537 0.784 0.497 Ac
0.779 0.040 0.003 Ac
0.784 0.537 0.997 Ac
0.960 0.221 0.497 Ac
0.004 0.752 0.004 Sn
0.248 0.996 0.496 Sn
0.477 0.523 0.750 Sn
0.523 0.477 0.250 Sn
0.752 0.004 0.504 Sn
0.996 0.248 0.996 Sn
0.172 0.431 0.501 I
0.431 0.172 0.001 I
0.569 0.828 0.999 I
0.828 0.569 0.499 I
```

For Ac5Tc2I2, a PBE-relaxed structure gives the theoretical XRD peak list in this record (λ = 1.5418 Å (Cu Kα)).
Lines closer than 0.1° are merged.

Peak list (10 most intense, 10 to 90 degrees two-theta, low angle first)
d/Å	intensity
3.524	351
3.184	795
3.072	761
2.858	1000
2.792	431
2.736	559
2.646	320
2.562	424
2.489	481
1.755	355

```
Ac5Tc2I2
1.0
10.091 0.000 0.000
0.000 8.286 0.000
-1.339 0.000 8.020
Ac Tc I
10 4 4
direct
0.000 0.000 0.000 Ac
0.000 0.500 0.500 Ac
0.213 0.179 0.721 Ac
0.213 0.321 0.221 Ac
0.219 0.675 0.866 Ac
0.219 0.825 0.366 Ac
0.781 0.175 0.634 Ac
0.781 0.325 0.134 Ac
0.787 0.679 0.779 Ac
0.787 0.821 0.279 Ac
0.007 0.103 0.397 Tc
0.007 0.397 0.897 Tc
0.993 0.603 0.103 Tc
0.993 0.897 0.603 Tc
0.485 0.601 0.227 I
0.485 0.899 0.727 I
0.515 0.101 0.273 I
0.515 0.399 0.773 I
```

For Ac3Te3I, a PBE-relaxed structure gives the theoretical XRD peak list in this record (λ = 1.5418 Å (Cu Kα)).
Lines closer than 0.1° are merged.

Peak list (10 most intense, 10 to 90 degrees two-theta, low angle first)
d/Å	intensity
4.992	485
3.985	302
3.308	353
3.104	170
2.882	1000
2.757	651
2.173	511
1.992	212
1.639	183
1.434	257

```
Ac3Te3I
1.0
4.992 2.882 6.616
-4.992 2.882 6.616
0.000 -5.765 6.616
Ac Te I
6 6 2
direct
0.082 0.716 0.439 Ac
0.284 0.561 0.918 Ac
0.439 0.082 0.716 Ac
0.561 0.918 0.284 Ac
0.716 0.439 0.082 Ac
0.918 0.284 0.561 Ac
0.089 0.383 0.791 Te
0.209 0.911 0.617 Te
0.383 0.791 0.089 Te
0.617 0.209 0.911 Te
0.791 0.089 0.383 Te
0.911 0.617 0.209 Te
0.330 0.330 0.330 I
0.670 0.670 0.670 I
```

For Ac4Te5I, a PBE-relaxed structure gives the theoretical XRD peak list in this record (λ = 1.5418 Å (Cu Kα)).
Lines closer than 0.1° are merged.

Peak list (10 most intense, 10 to 90 degrees two-theta, low angle first)
d/Å	intensity
4.637	546
4.311	664
3.410	213
2.813	258
2.772	1000
2.536	225
2.456	178
2.355	354
1.883	120
1.827	114

```
Ac4Te5I
1.0
10.142 0.000 0.000
0.000 11.251 0.000
0.000 0.000 8.190
Ac Te I
8 10 2
direct
0.038 0.250 0.039 Ac
0.250 0.000 0.514 Ac
0.250 0.500 0.514 Ac
0.462 0.250 0.039 Ac
0.538 0.750 0.961 Ac
0.750 0.000 0.486 Ac
0.750 0.500 0.486 Ac
0.962 0.750 0.961 Ac
0.010 0.542 0.240 Te
0.010 0.958 0.240 Te
0.250 0.250 0.338 Te
0.490 0.542 0.240 Te
0.490 0.958 0.240 Te
0.510 0.042 0.760 Te
0.510 0.458 0.760 Te
0.750 0.750 0.662 Te
0.990 0.042 0.760 Te
0.990 0.458 0.760 Te
0.250 0.750 0.743 I
0.750 0.250 0.257 I
```